Record 1
This entry pairs a crystal structure of Na2NiPCO7 with its simulated powder diffractogram. Radiation: copper Kα. Structure: a cell relaxed with PBE+U.

Crystal structure
Cell lengths 5.1583, 6.6039, 8.9730 Å; angles 88.97, 88.28, 89.74 degrees
Fractional coordinates of all 24 atoms:
Na1 0.0000 0.0000 0.0000
Na2 0.9995 0.4663 0.0000
Na3 0.0371 0.7113 0.3505
Na4 0.4984 0.9654 0.5302
Ni1 0.0296 0.2435 0.6060
Ni2 0.4741 0.7355 0.9161
P1 0.5292 0.2368 0.8361
P2 0.9650 0.7372 0.6845
C1 0.5398 0.7378 0.1931
C2 0.9612 0.2335 0.3364
O1 0.0269 0.5510 0.5880
O2 0.0352 0.9220 0.5810
O3 0.1084 0.7369 0.8331
O4 0.1884 0.2391 0.3955
O5 0.3142 0.7325 0.1299
O6 0.3801 0.2307 0.6909
O7 0.4626 0.4226 0.9336
O8 0.4666 0.0485 0.9382
O9 0.5589 0.7487 0.3328
O10 0.6677 0.7455 0.7244
O11 0.7413 0.7311 0.1016
O12 0.7721 0.2368 0.4357
O13 0.8288 0.2353 0.7988
O14 0.9304 0.2287 0.1979

The 10 most intense peaks (2θ from 15° to 90°), sorted by position:
2θ/deg, intensity
16.53, 35
16.82, 36
19.60, 41
20.12, 48
25.94, 45
27.01, 100
33.40, 37
33.81, 37
34.00, 36
34.80, 55



Record 2
This entry pairs a crystal structure of K2MoO4 with its simulated powder diffractogram. Radiation: copper Kα. Structure: a cell relaxed with PBE+U.

Crystal structure
Cell lengths 7.0088, 7.0088, 7.6701 Å; angles 113.00, 113.00, 52.77 degrees
Fractional coordinates of all 14 atoms:
K1 0.0096 0.0096 0.2348
K2 0.3433 0.3433 0.2509
K3 0.6567 0.6567 0.7491
K4 0.9904 0.9904 0.7652
Mo1 0.3239 0.3239 0.7724
Mo2 0.6761 0.6761 0.2276
O1 0.1210 0.5933 0.9222
O2 0.1671 0.1671 0.6163
O3 0.4067 0.8790 0.0778
O4 0.4109 0.4109 0.6377
O5 0.5891 0.5891 0.3623
O6 0.5933 0.1210 0.9222
O7 0.8329 0.8329 0.3837
O8 0.8790 0.4067 0.0778

The 10 most intense peaks (2θ from 15° to 90°), sorted by position:
2θ/deg, intensity
15.33, 21
18.48, 47
22.81, 27
25.81, 66
27.68, 100
28.66, 55
30.05, 68
38.95, 54
45.09, 34
62.52, 24